(1)
# Li4CrCo2Ni3P6O24
Calculated powder X-ray diffraction pattern, copper Kα. Input: DFT lattice parameters and positions (PBE+U).
Neutral-atom scattering factors, no anomalous dispersion.

Structural model:
```
40
Lattice="8.354 0.000 0.000 3.821 7.561 0.000 3.817 2.382 7.179" Properties=species:S:1:pos:R:3 pbc="T T T"
Li 0.000 0.000 0.000
Li 6.133 5.875 6.294
Li 7.825 6.063 2.120
Li 9.707 1.819 3.605
Cr 10.480 4.470 2.109
Co 7.885 8.007 4.612
Co 8.054 3.050 1.034
Ni 5.459 6.523 3.592
Ni 10.101 9.443 5.678
Ni 5.864 1.582 0.004
P 2.767 1.249 1.375
P 5.200 4.797 0.699
P 8.005 4.464 4.321
P 10.791 7.793 2.866
P 13.224 8.269 6.458
P 12.173 3.966 5.008
O 5.835 7.687 5.337
O 4.871 5.059 4.819
O 3.743 4.370 1.008
O 4.360 2.500 5.144
O 6.631 8.120 2.801
O 2.036 0.442 0.306
O 5.818 5.658 1.811
O 8.873 7.953 6.529
O 7.406 5.924 4.153
O 4.182 1.610 1.027
O 6.989 3.369 4.541
O 6.163 3.586 0.542
O 9.778 8.272 3.940
O 9.038 4.577 5.410
O 11.794 8.456 6.041
O 8.608 4.186 2.857
O 7.052 1.259 1.684
O 10.263 6.412 2.406
O 13.927 9.539 6.920
O 9.389 4.725 0.389
O 11.581 4.257 6.433
O 12.241 7.743 3.375
O 11.155 3.876 3.858
O 10.149 2.511 1.608
```

Principal peaks in the range 2θ from 15° to 90°, in order of rising 2θ:
d [Å], 2theta, I/Imax
4.415, 20.11, 100.0
3.711, 23.98, 35.0
3.696, 24.08, 34.8
3.660, 24.32, 34.1
2.691, 33.29, 32.7
2.675, 33.49, 30.0
2.652, 33.80, 27.1
2.552, 35.16, 40.8
2.542, 35.31, 21.0
1.886, 48.26, 15.2
1.671, 54.94, 16.9
1.501, 61.80, 15.3



(2)
# Li3Mn2FeB3O9
Calculated powder X-ray diffraction pattern, copper Kα. Input: DFT lattice parameters and positions (PBE+U).
Neutral-atom scattering factors, no anomalous dispersion.

Structural model:
```
36
Lattice="8.253 0.000 0.000 0.000 6.341 0.000 -4.117 0.000 7.168" Properties=species:S:1:pos:R:3 pbc="T T T"
Li 0.000 1.582 0.000
Li 0.000 4.759 0.000
Li -0.209 1.585 4.202
Li -0.209 4.756 4.202
Li 3.520 1.587 2.285
Li 3.520 4.754 2.285
Mn -1.433 0.000 6.750
Mn 2.536 3.171 4.829
Mn 6.329 0.000 2.076
Mn 6.328 3.171 2.075
Fe -1.477 3.171 6.750
Fe 2.555 0.000 4.794
B 1.090 0.000 2.185
B 1.121 3.171 2.159
B 1.102 1.585 6.932
B 1.102 4.756 6.932
B 5.226 1.584 4.559
B 5.226 4.757 4.559
O -1.872 1.610 5.332
O -1.872 4.731 5.332
O 0.961 0.000 0.799
O 0.985 3.171 0.765
O -0.038 0.000 3.000
O -0.014 3.171 2.965
O 2.364 0.000 2.767
O 2.390 3.171 2.729
O 3.955 1.601 0.349
O 3.955 4.740 0.349
O 1.235 1.572 5.547
O 1.235 4.769 5.547
O 6.358 1.583 0.570
O 6.358 4.758 0.570
O 3.981 1.558 5.173
O 3.981 4.783 5.173
O 5.316 1.587 3.174
O 5.316 4.754 3.174
```

Principal peaks in the range 2θ from 15° to 90°, in order of rising 2θ:
d [Å], 2theta, I/Imax
4.133, 21.50, 100.0
2.899, 30.85, 17.1
2.706, 33.10, 15.1
2.516, 35.69, 80.5
2.387, 37.68, 21.4
2.383, 37.75, 10.8
2.373, 37.91, 10.1
2.068, 43.78, 9.9
1.906, 47.70, 28.0
1.732, 52.86, 16.8
1.683, 54.51, 12.6
1.585, 58.20, 11.4



(3)
# YFe6BiB8O24
Calculated powder X-ray diffraction pattern, copper Kα. Input: DFT lattice parameters and positions (PBE+U).
Neutral-atom scattering factors, no anomalous dispersion.

Structural model:
```
40
Lattice="6.134 0.000 0.000 0.000 9.664 0.000 -2.925 0.000 6.979" Properties=species:S:1:pos:R:3 pbc="T T T"
Y 0.000 0.000 0.000
Fe 0.000 4.332 0.000
Fe -1.463 9.171 3.490
Fe 1.931 2.670 1.922
Fe 0.484 7.516 5.431
Fe 2.724 7.516 1.549
Fe 1.277 2.670 5.057
Bi -1.463 4.836 3.490
B -0.322 7.017 1.537
B -1.791 2.144 5.064
B 1.604 0.012 3.490
B 3.067 0.537 0.000
B 3.067 4.837 0.000
B 1.604 5.364 3.490
B 5.000 2.144 1.916
B 3.530 7.017 5.442
O -1.927 0.773 4.983
O -0.394 5.639 1.449
O -0.056 2.868 1.435
O -1.508 7.695 4.939
O 0.774 7.768 1.160
O -0.667 2.854 4.693
O 1.977 4.144 0.504
O 0.515 8.991 4.004
O 1.989 1.162 0.600
O 0.564 6.019 4.118
O 1.604 1.400 3.490
O 1.604 3.981 3.490
O 3.067 6.225 0.000
O 3.067 8.815 0.000
O 2.645 6.019 2.861
O 1.220 1.162 6.380
O 2.694 8.991 2.975
O 1.232 4.144 6.476
O 3.875 2.854 2.286
O 2.435 7.768 5.820
O 4.717 7.695 2.040
O 3.265 2.868 5.544
O 3.602 5.639 5.530
O 5.136 0.773 1.996
```

Principal peaks in the range 2θ from 15° to 90°, in order of rising 2θ:
d [Å], 2theta, I/Imax
5.658, 15.66, 27.1
4.829, 18.37, 23.0
3.673, 24.23, 78.7
2.924, 30.58, 27.2
2.829, 31.63, 100.0
2.441, 36.82, 17.7
2.414, 37.25, 16.4
2.221, 40.63, 14.4
2.018, 44.92, 15.9
1.986, 45.69, 22.2
1.757, 52.06, 27.9
1.745, 52.43, 20.3



(4)
# MgCr2Co4O12
Calculated powder X-ray diffraction pattern, copper Kα. Input: DFT lattice parameters and positions (PBE+U).
Neutral-atom scattering factors, no anomalous dispersion.

Structural model:
```
19
Lattice="5.011 0.000 0.000 2.503 4.343 0.000 1.315 0.068 9.912" Properties=species:S:1:pos:R:3 pbc="T T T"
Mg 0.000 0.000 0.000
Cr 2.989 2.931 7.399
Cr 4.990 2.953 2.407
Co 2.469 1.508 2.398
Co 5.505 4.388 7.434
Co 5.497 1.500 7.429
Co 4.989 0.102 2.709
O 2.108 1.410 8.466
O 1.369 0.119 6.488
O 3.248 2.855 3.409
O 1.542 0.091 1.457
O 4.685 3.016 8.466
O 3.863 1.418 6.502
O 3.270 0.092 3.421
O 4.155 1.367 1.475
O 4.724 0.098 8.464
O 6.251 2.934 6.502
O 5.929 1.541 3.441
O 6.719 2.956 1.383
```

Principal peaks in the range 2θ from 15° to 90°, in order of rising 2θ:
d [Å], 2theta, I/Imax
4.956, 17.90, 100.0
2.484, 36.17, 8.2
2.464, 36.46, 16.0
2.393, 37.59, 6.9
2.348, 38.34, 6.9
2.112, 42.82, 7.1
2.066, 43.81, 7.1
2.056, 44.05, 7.2
1.940, 46.84, 7.9
1.928, 47.14, 7.6
1.882, 48.35, 7.1
1.446, 64.43, 9.0



(5)
# VCuO4
Calculated powder X-ray diffraction pattern, copper Kα. Input: DFT lattice parameters and positions (PBE+U).
Neutral-atom scattering factors, no anomalous dispersion.

Structural model:
```
12
Lattice="-2.836 3.108 4.021 2.836 -3.108 4.021 2.836 3.108 -4.021" Properties=species:S:1:pos:R:3 pbc="T T T"
V 0.000 1.554 1.748
V 2.836 1.554 2.273
Cu 1.418 1.554 -2.011
Cu 1.418 -1.554 2.011
O 2.836 -0.363 1.847
O 2.836 2.745 -1.847
O 1.374 1.554 0.733
O 1.462 -1.554 4.754
O 1.374 4.662 -0.733
O 1.462 1.554 3.288
O 0.000 0.363 5.868
O 0.000 3.471 2.174
```

Principal peaks in the range 2θ from 15° to 90°, in order of rising 2θ:
d [Å], 2theta, I/Imax
4.021, 22.11, 100.0
3.108, 28.73, 46.4
2.458, 36.55, 78.5
2.095, 43.18, 9.8
2.011, 45.09, 9.4
1.859, 49.00, 42.8
1.638, 56.15, 26.0
1.554, 59.49, 7.1
1.450, 64.26, 6.8
1.419, 65.81, 29.5
1.229, 77.73, 6.4
1.159, 83.36, 7.6



(6)
# Mn2ZnO4
Calculated powder X-ray diffraction pattern, copper Kα. Input: DFT lattice parameters and positions (PBE+U).
Neutral-atom scattering factors, no anomalous dispersion.

Structural model:
```
14
Lattice="1.499 -4.943 0.000 1.499 4.943 0.000 0.000 0.000 9.734" Properties=species:S:1:pos:R:3 pbc="T T T"
Mn 1.499 3.637 5.555
Mn 1.499 3.637 9.047
Mn 1.499 -3.637 0.688
Mn 1.499 -3.637 4.179
Zn 1.499 1.088 7.301
Zn 1.499 -1.088 2.434
O 1.499 4.551 7.301
O 1.499 2.744 1.089
O 1.499 2.744 3.778
O 1.499 0.000 0.000
O 1.499 0.000 4.867
O 1.499 -2.744 5.956
O 1.499 -2.744 8.645
O 1.499 -4.551 2.434
```

Principal peaks in the range 2θ from 15° to 90°, in order of rising 2θ:
d [Å], 2theta, I/Imax
2.751, 32.55, 32.6
2.713, 33.02, 100.0
2.471, 36.35, 53.4
2.162, 41.78, 57.2
2.018, 44.92, 45.4
1.856, 49.10, 13.9
1.611, 57.19, 22.8
1.563, 59.12, 22.2
1.499, 61.92, 15.9
1.470, 63.27, 30.2
1.463, 63.60, 14.2
1.312, 71.99, 18.7



(7)
# Mg6VZnO8
Calculated powder X-ray diffraction pattern, copper Kα. Input: DFT lattice parameters and positions (PBE+U).
Neutral-atom scattering factors, no anomalous dispersion.

Structural model:
```
16
Lattice="4.295 0.000 0.000 0.000 4.295 0.000 0.000 0.000 8.583" Properties=species:S:1:pos:R:3 pbc="T T T"
Mg 0.000 0.000 0.000
Mg 0.000 0.000 4.291
Mg 0.000 2.148 2.138
Mg 0.000 2.148 6.445
Mg 2.148 0.000 2.138
Mg 2.148 0.000 6.445
V 2.148 2.148 4.291
Zn 2.148 2.148 0.000
O 0.000 0.000 2.146
O 0.000 0.000 6.437
O 0.000 2.148 0.000
O 0.000 2.148 4.291
O 2.148 0.000 0.000
O 2.148 0.000 4.291
O 2.148 2.148 2.127
O 2.148 2.148 6.456
```

Principal peaks in the range 2θ from 15° to 90°, in order of rising 2θ:
d [Å], 2theta, I/Imax
4.294, 20.69, 19.9
3.036, 29.42, 16.6
2.479, 36.23, 26.3
2.147, 42.09, 100.0
1.920, 47.34, 8.4
1.753, 52.18, 6.1
1.518, 61.03, 57.0
1.431, 65.18, 3.6
1.358, 69.18, 2.4
1.295, 73.09, 13.2
1.240, 76.91, 17.3
1.148, 84.40, 2.7